Record 1
Ni3Pt5Rh2: calculated powder diffraction line list (a wavelength of 1.5418 Å), based on a GGA-PBE-relaxed structure.

Peak list (10 most intense, 2θ = 15–90°, in order of rising 2θ)
- 2θ = 20.73°, intensity 84, hkl 2 0 1
- 2θ = 36.58°, intensity 37, hkl 4 0 -3
- 2θ = 39.89°, intensity 100, hkl 1 1 -2
- 2θ = 40.35°, intensity 88, hkl 6 0 -2
- 2θ = 42.18°, intensity 83, hkl 4 0 2
- 2θ = 44.48°, intensity 67, hkl 2 0 -4
- 2θ = 48.54°, intensity 66, hkl 5 1 0
- 2θ = 69.21°, intensity 38, hkl 0 2 0
- 2θ = 84.46°, intensity 25, hkl 4 2 2
- 2θ = 86.04°, intensity 28, hkl 2 2 -4

Cell and atoms:
Cell: 13.7838 2.7161 8.1570 Å, 90.00 109.88 90.00°
Space group C2/m (No. 12)
One atom of each set of equivalent atoms:
1 Ni 0.0000 0.0000 0.0000 x2
2 Ni 0.0975 0.5000 0.8221 x4
3 Pt 0.0000 0.5000 0.5000 x2
4 Pt 0.1029 0.5000 0.2832 x4
5 Pt 0.2038 0.0000 0.0993 x4
6 Rh 0.1842 0.0000 0.5971 x4

=====

Record 2
Ni2Pt3Rh4: calculated powder diffraction line list (a wavelength of 1.5418 Å), based on a GGA-PBE-relaxed structure.

Peak list (10 most intense, 2θ = 15–90°, in order of rising 2θ)
- 2θ = 24.51°, intensity 9, hkl 1 1 0
- 2θ = 40.72°, intensity 100, hkl 3 1 -2
- 2θ = 47.21°, intensity 33, hkl 0 2 0
- 2θ = 47.70°, intensity 16, hkl 0 0 3
- 2θ = 68.98°, intensity 10, hkl 6 2 -1
- 2θ = 69.37°, intensity 20, hkl 6 0 -4
- 2θ = 83.30°, intensity 25, hkl 3 3 -2
- 2θ = 84.02°, intensity 6, hkl 3 1 4
- 2θ = 84.05°, intensity 6, hkl 3 1 -5
- 2θ = 88.18°, intensity 11, hkl 6 2 -4

Cell and atoms:
Cell: 11.5544 3.8502 6.0340 Å, 90.00 108.59 90.00°
Space group C2/m (No. 12)
One atom of each set of equivalent atoms:
1 Ni 0.1688 0.0000 0.0011 x4
2 Pt 0.0000 0.5000 0.0000 x2
3 Pt 0.1154 0.5000 0.6756 x4
4 Rh 0.0566 0.0000 0.3304 x4
5 Rh 0.2218 0.5000 0.3303 x4

=====

Record 3
NiPt5Rh4: calculated powder diffraction line list (a wavelength of 1.5418 Å), based on a GGA-PBE-relaxed structure.

Peak list (10 most intense, 2θ = 15–90°, in order of rising 2θ)
- 2θ = 22.96°, intensity 11, hkl 0 1 0
- 2θ = 32.50°, intensity 9, hkl 1 0 0
- 2θ = 40.17°, intensity 100, hkl 1 1 0
- 2θ = 46.63°, intensity 33, hkl 1 0 5
- 2θ = 46.91°, intensity 16, hkl 0 2 0
- 2θ = 68.29°, intensity 21, hkl 1 2 5
- 2θ = 82.01°, intensity 13, hkl 2 1 5
- 2θ = 82.17°, intensity 12, hkl 1 1 10
- 2θ = 82.51°, intensity 13, hkl 1 3 0
- 2θ = 86.65°, intensity 6, hkl 2 2 0

Cell and atoms:
Cell: 2.7588 3.8735 13.7533 Å, 90.00 90.00 90.00°
Space group Pmmm (No. 47)
One atom of each set of equivalent atoms:
1 Ni 0.0000 0.0000 0.0000 x1
2 Pt 0.5000 0.5000 0.0958 x2
3 Pt 0.5000 0.5000 0.2967 x2
4 Pt 0.5000 0.5000 0.5000 x1
5 Rh 0.0000 0.0000 0.1964 x2
6 Rh 0.0000 0.0000 0.3991 x2

=====

Record 4
Ni5Pt8Rh: calculated powder diffraction line list (a wavelength of 1.5418 Å), based on a GGA-PBE-relaxed structure.

Peak list (10 most intense, 2θ = 15–90°, in order of rising 2θ)
- 2θ = 29.38°, intensity 61, hkl 2 1 1
- 2θ = 37.96°, intensity 49, hkl 1 0 3
- 2θ = 38.26°, intensity 93, hkl 3 1 0
- 2θ = 45.37°, intensity 58, hkl 1 2 3
- 2θ = 45.57°, intensity 100, hkl 3 1 2
- 2θ = 60.95°, intensity 22, hkl 2 4 2
- 2θ = 63.44°, intensity 15, hkl 3 1 4
- 2θ = 63.80°, intensity 18, hkl 4 3 1
- 2θ = 79.25°, intensity 18, hkl 5 2 3
- 2θ = 79.40°, intensity 15, hkl 1 6 1

Cell and atoms:
Cell: 7.4364 7.4364 7.5024 Å, 90.00 90.00 90.00°
Space group I-4 (No. 82)
One atom of each set of equivalent atoms:
1 Ni 0.0000 0.0000 0.0000 x2
2 Ni 0.1186 0.2078 0.5884 x8
3 Pt 0.0687 0.3328 0.9197 x8
4 Pt 0.1027 0.1701 0.2573 x8
5 Rh 0.0000 0.5000 0.2500 x2